This entry pairs a crystal structure of Pm4Nd2Tm with its computed powder XRD pattern. Radiation: CuKα. Structure: a GGA-PBE-relaxed structure.
Intensities are scaled so that the largest is 1000.

Largest 10 diffraction maxima, low angle first, 5 to 70 degrees two-theta:
27.0 deg, I 156, (0 0 6); 29.1 deg, I 447, (0 4 2); 30.4 deg, I 1000, (1 1 4); 32.6 deg, I 640, (1 3 2); 36.3 deg, I 134, (0 0 8); 39.1 deg, I 212, (0 4 6); 47.6 deg, I 149, (2 0 0); 56.6 deg, I 178, (1 3 10); 56.8 deg, I 213, (0 6 8); 58.7 deg, I 183, (1 7 4)

Structure:
```
data_Pm4Nd2Tm
_cell_length_a 3.8220
_cell_length_b 12.8877
_cell_length_c 19.7907
_cell_angle_alpha 90.00
_cell_angle_beta 90.00
_cell_angle_gamma 90.00
_space_group_name_H-M_alt 'C m c e'
_space_group_IT_number 64
_space_group_name_Hall '-C 2ac 2'
loop_
_atom_site_label
_atom_site_fract_x
_atom_site_fract_y
_atom_site_fract_z
Pm1 0.0000 0.1083 0.1769
Pm2 0.0000 0.2370 0.4342
Nd1 0.0000 0.1066 0.6687
Tm1 0.0000 0.0000 0.0000
```



This entry pairs a crystal structure of Ga2H2Se3 with its computed powder XRD pattern. Radiation: CuKα. Structure: a GGA-PBE-relaxed structure.
Intensities are scaled so that the largest is 1000.

Largest 10 diffraction maxima, low angle first, 5 to 70 degrees two-theta:
15.0 deg, I 1000, (0 1 0); 21.3 deg, I 886, (1 0 0); 26.0 deg, I 644, (0 1 -1); 26.7 deg, I 903, (0 2 1); 28.2 deg, I 596, (1 0 -1); 34.5 deg, I 575, (1 0 2); 40.2 deg, I 444, (-1 2 2); 40.4 deg, I 319, (1 0 -2); 43.4 deg, I 320, (2 0 0); 46.1 deg, I 362, (0 3 0)

Structure:
```
data_Ga2H2Se3
_cell_length_a 4.2275
_cell_length_b 6.6977
_cell_length_c 6.7101
_cell_angle_alpha 61.93
_cell_angle_beta 81.04
_cell_angle_gamma 88.23
_space_group_name_H-M_alt 'P -1'
_space_group_IT_number 2
loop_
_space_group_symop_operation_xyz
'x,y,z'
'-x,-y,-z'
loop_
_atom_site_label
_atom_site_fract_x
_atom_site_fract_y
_atom_site_fract_z
Ga1 0.0563 0.0177 0.2547
H1 0.3022 0.3823 0.7470
Se1 0.0445 0.6739 0.1574
Se2 0.5000 0.0000 0.5000
```



This entry pairs a crystal structure of RbTl6Pd with its computed powder XRD pattern. Radiation: CuKα. Structure: a GGA-PBE-relaxed structure.
Intensities are scaled so that the largest is 1000.

Largest 10 diffraction maxima, low angle first, 5 to 70 degrees two-theta:
8.4 deg, I 325, (0 0 1); 19.9 deg, I 219, (1 0 1); 24.7 deg, I 199, (1 0 2); 26.9 deg, I 719, (1 1 1); 36.3 deg, I 1000, (1 1 3); 36.4 deg, I 704, (2 0 0); 38.8 deg, I 166, (1 0 4); 52.4 deg, I 251, (2 2 0); 65.2 deg, I 193, (2 0 6); 65.4 deg, I 368, (3 1 3)

Structure:
```
data_RbTl6Pd
_cell_length_a 4.9378
_cell_length_b 4.9378
_cell_length_c 10.5320
_cell_angle_alpha 90.00
_cell_angle_beta 90.00
_cell_angle_gamma 90.00
_space_group_name_H-M_alt 'P 4/m m m'
_space_group_IT_number 123
_space_group_name_Hall '-P 4 2'
loop_
_atom_site_label
_atom_site_fract_x
_atom_site_fract_y
_atom_site_fract_z
Rb1 0.0000 0.0000 0.0000
Tl1 0.0000 0.5000 0.3478
Tl2 0.5000 0.5000 0.1495
Pd1 0.0000 0.0000 0.5000
```



This entry pairs a crystal structure of NaSn2Br8 with its computed powder XRD pattern. Radiation: CuKα. Structure: a GGA-PBE-relaxed structure.
Intensities are scaled so that the largest is 1000.

Largest 10 diffraction maxima, low angle first, 5 to 70 degrees two-theta:
15.8 deg, I 1000, (0 1 1); 18.3 deg, I 359, (0 0 2); 22.4 deg, I 204, (1 1 0); 25.9 deg, I 292, (2 0 0); 27.5 deg, I 237, (0 2 1); 30.5 deg, I 297, (0 1 3); 31.9 deg, I 205, (0 2 2); 35.8 deg, I 447, (1 2 1); 44.7 deg, I 278, (1 2 3); 45.7 deg, I 533, (2 2 0)

Structure:
```
data_NaSn2Br8
_cell_length_a 7.9397
_cell_length_b 7.9397
_cell_length_c 9.7107
_cell_angle_alpha 90.00
_cell_angle_beta 90.00
_cell_angle_gamma 120.00
_space_group_name_H-M_alt 'P -3 m 1'
_space_group_IT_number 164
_space_group_name_Hall '-P 3 2"'
loop_
_atom_site_label
_atom_site_fract_x
_atom_site_fract_y
_atom_site_fract_z
Na1 0.0000 0.0000 0.0000
Sn1 0.3333 0.6667 0.3004
Br1 0.1529 0.3058 0.2280
Br2 0.3333 0.6667 0.5596
```